Entry 1:
# Rb2HO3
Theoretical powder diffraction line list, Cu Kα X-rays. Input: a structure optimized by DFT (GGA-PBE).
No peak broadening, texture or thermal motion is included.

Top 10 peaks for 2θ = 10–80°, most intense first:
| 2theta | Rel. int. |
| --- | --- |
| 33.7 | 100 |
| 25.2 | 84 |
| 28.9 | 42 |
| 36.6 | 28 |
| 21.9 | 24 |
| 35.6 | 21 |
| 49.0 | 19 |
| 56.8 | 18 |
| 54.3 | 17 |
| 41.3 | 17 |

Cell and atoms:
```
Rb2HO3
1.0
0.0000 4.3076 6.1838
4.0510 0.0000 6.1838
4.0510 4.3076 0.0000
Rb H O
4 2 6
direct
0.1982 0.8018 0.8018
0.2500 0.2500 0.2500
0.7500 0.7500 0.7500
0.8018 0.1982 0.1982
0.2716 0.2716 0.7284
0.7284 0.7284 0.2716
0.1927 0.1927 0.8073
0.3077 0.5825 0.4175
0.4175 0.6923 0.3077
0.5825 0.3077 0.6923
0.6923 0.4175 0.5825
0.8073 0.8073 0.1927
```

Entry 2:
# La3Nd7Tm2
Theoretical powder diffraction line list, Cu Kα X-rays. Input: a structure optimized by DFT (GGA-PBE).
No peak broadening, texture or thermal motion is included.

Top 10 peaks for 2θ = 10–80°, most intense first:
| 2theta | Rel. int. |
| --- | --- |
| 31.0 | 100 |
| 31.3 | 34 |
| 64.6 | 23 |
| 49.9 | 22 |
| 33.6 | 20 |
| 54.9 | 19 |
| 55.5 | 18 |
| 26.7 | 17 |
| 32.6 | 15 |
| 77.3 | 12 |

Cell and atoms:
```
La3Nd7Tm2
1.0
3.3435 1.9303 11.4279
-3.3435 1.9303 11.4279
0.0000 -3.8607 11.4279
La Nd Tm
3 7 2
direct
0.0000 0.0000 0.0000
0.1531 0.1531 0.1531
0.8469 0.8469 0.8469
0.0796 0.5848 0.5848
0.4152 0.4152 0.9204
0.4152 0.9204 0.4152
0.5000 0.5000 0.5000
0.5848 0.0796 0.5848
0.5848 0.5848 0.0796
0.9204 0.4152 0.4152
0.3338 0.3338 0.3338
0.6662 0.6662 0.6662
```

Entry 3:
# KAgGe2Cl
Theoretical powder diffraction line list, Cu Kα X-rays. Input: a structure optimized by DFT (GGA-PBE).
No peak broadening, texture or thermal motion is included.

Top 10 peaks for 2θ = 10–80°, most intense first:
| 2theta | Rel. int. |
| --- | --- |
| 29.4 | 100 |
| 35.0 | 51 |
| 48.4 | 38 |
| 32.4 | 31 |
| 23.6 | 28 |
| 59.3 | 26 |
| 78.5 | 20 |
| 61.1 | 18 |
| 50.3 | 17 |
| 55.9 | 16 |

Cell and atoms:
```
KAgGe2Cl
1.0
5.1340 0.0000 0.0000
0.0000 5.1340 0.0000
0.0000 0.0000 5.5330
K Ag Ge Cl
1 1 2 1
direct
0.0000 0.0000 0.0000
0.5000 0.5000 0.0000
0.0000 0.5000 0.5000
0.5000 0.0000 0.5000
0.0000 0.0000 0.5000
```

Entry 4:
# SmSb3Au
Theoretical powder diffraction line list, Cu Kα X-rays. Input: a structure optimized by DFT (GGA-PBE).
No peak broadening, texture or thermal motion is included.

Top 10 peaks for 2θ = 10–80°, most intense first:
| 2theta | Rel. int. |
| --- | --- |
| 35.0 | 100 |
| 31.5 | 90 |
| 40.4 | 56 |
| 34.6 | 56 |
| 34.0 | 34 |
| 32.4 | 33 |
| 33.8 | 28 |
| 37.9 | 28 |
| 53.9 | 27 |
| 52.8 | 23 |

Cell and atoms:
```
SmSb3Au
1.0
13.1712 0.0000 0.0000
0.0000 6.2966 0.0000
0.0000 0.0000 6.3186
Sm Sb Au
4 12 4
direct
0.1853 0.0095 0.2500
0.1853 0.4905 0.7500
0.8147 0.5095 0.2500
0.8147 0.9905 0.7500
0.0011 0.2500 0.0000
0.0011 0.2500 0.5000
0.2491 0.5179 0.2500
0.2491 0.9821 0.7500
0.4387 0.6656 0.7500
0.4387 0.8344 0.2500
0.5613 0.1656 0.7500
0.5613 0.3344 0.2500
0.7509 0.0179 0.2500
0.7509 0.4821 0.7500
0.9989 0.7500 0.0000
0.9989 0.7500 0.5000
0.3786 0.2500 0.0000
0.3786 0.2500 0.5000
0.6214 0.7500 0.0000
0.6214 0.7500 0.5000
```

Entry 5:
# VCoHg
Theoretical powder diffraction line list, Cu Kα X-rays. Input: a structure optimized by DFT (GGA-PBE).
No peak broadening, texture or thermal motion is included.

Top 10 peaks for 2θ = 10–80°, most intense first:
| 2theta | Rel. int. |
| --- | --- |
| 22.7 | 100 |
| 37.9 | 81 |
| 45.6 | 75 |
| 34.8 | 62 |
| 46.3 | 58 |
| 40.8 | 35 |
| 27.3 | 34 |
| 75.4 | 29 |
| 17.2 | 29 |
| 36.7 | 28 |

Cell and atoms:
```
VCoHg
1.0
0.0000 4.2188 5.1546
2.4516 0.0000 5.1546
2.4516 4.2188 0.0000
V Co Hg
2 2 2
direct
0.2500 0.2500 0.2500
0.7500 0.7500 0.7500
0.2180 0.2180 0.7820
0.7820 0.7820 0.2180
0.1699 0.8301 0.1699
0.8301 0.1699 0.8301
```

Entry 6:
# RbCeReO6
Theoretical powder diffraction line list, Cu Kα X-rays. Input: a structure optimized by DFT (GGA-PBE).
No peak broadening, texture or thermal motion is included.

Top 10 peaks for 2θ = 10–80°, most intense first:
| 2theta | Rel. int. |
| --- | --- |
| 23.2 | 100 |
| 14.4 | 59 |
| 43.4 | 53 |
| 31.5 | 45 |
| 34.8 | 27 |
| 51.4 | 22 |
| 39.5 | 20 |
| 29.1 | 16 |
| 18.0 | 16 |
| 56.1 | 14 |

Cell and atoms:
```
RbCeReO6
1.0
5.6768 0.0000 0.0000
-2.8384 4.9163 0.0000
0.0000 0.0000 6.1402
Rb Ce Re O
1 1 1 6
direct
0.0000 0.0000 0.0000
0.3333 0.6667 0.5000
0.6667 0.3333 0.5000
0.4087 0.0438 0.6776
0.4087 0.3650 0.3224
0.6350 0.0438 0.3224
0.6350 0.5913 0.6776
0.9562 0.3650 0.6776
0.9562 0.5913 0.3224
```

Entry 7:
# PrNd4Ag2
Theoretical powder diffraction line list, Cu Kα X-rays. Input: a structure optimized by DFT (GGA-PBE).
No peak broadening, texture or thermal motion is included.

Top 10 peaks for 2θ = 10–80°, most intense first:
| 2theta | Rel. int. |
| --- | --- |
| 32.1 | 100 |
| 33.3 | 57 |
| 57.9 | 23 |
| 46.9 | 22 |
| 25.2 | 20 |
| 57.2 | 19 |
| 45.2 | 18 |
| 67.1 | 12 |
| 77.0 | 10 |
| 18.7 | 10 |

Cell and atoms:
```
PrNd4Ag2
1.0
2.7897 1.6107 8.6551
-2.7897 1.6107 8.6551
0.0000 -3.2213 8.6551
Pr Nd Ag
1 4 2
direct
0.0000 0.0000 0.0000
0.2283 0.2283 0.2283
0.3733 0.3733 0.3733
0.6267 0.6267 0.6267
0.7717 0.7717 0.7717
0.1131 0.1131 0.1131
0.8869 0.8869 0.8869
```

Entry 8:
# Sr2CoGe5
Theoretical powder diffraction line list, Cu Kα X-rays. Input: a structure optimized by DFT (GGA-PBE).
No peak broadening, texture or thermal motion is included.

Top 10 peaks for 2θ = 10–80°, most intense first:
| 2theta | Rel. int. |
| --- | --- |
| 34.8 | 100 |
| 42.2 | 44 |
| 36.7 | 29 |
| 57.1 | 27 |
| 27.7 | 26 |
| 17.2 | 22 |
| 72.4 | 17 |
| 34.3 | 16 |
| 64.9 | 15 |
| 61.2 | 12 |

Cell and atoms:
```
Sr2CoGe5
1.0
-3.0301 3.0301 4.8942
3.0301 -3.0301 4.8942
3.0301 3.0301 -4.8942
Sr Co Ge
2 1 5
direct
0.0000 0.5000 0.5000
0.5000 0.0000 0.5000
0.2005 0.2005 0.0000
0.5254 0.5254 0.5591
0.5254 0.9662 0.0000
0.9523 0.9523 0.0000
0.9662 0.5254 0.0000
0.9662 0.9662 0.4409
```

What is the formula in the fifth record?
VCoHg

Number 8 is which compound?
Sr2CoGe5